Starting from a structure optimized by DFT (GGA-PBE), the X-ray diffraction stick pattern of CsAs3Au4 was calculated for a wavelength of 1.5418 Å.
Intensities are scaled so that the largest is 100.

Structure:
```
data_CsAs3Au4
_space_group_name_H-M_alt 'P 1'
_space_group_IT_number 1
_space_group_name_Hall 'P 1'
_cell_length_a 4.404
_cell_length_b 4.404
_cell_length_c 10.115
_cell_angle_alpha 90.00
_cell_angle_beta 90.00
_cell_angle_gamma 90.00
loop_
_atom_site_label
_atom_site_type_symbol
_atom_site_fract_x
_atom_site_fract_y
_atom_site_fract_z
Cs1 Cs 0.000 0.000 0.000
As1 As 0.000 0.000 0.500
As2 As 0.500 0.500 0.209
As3 As 0.500 0.500 0.791
Au1 Au 0.000 0.500 0.338
Au2 Au 0.000 0.500 0.662
Au3 Au 0.500 0.000 0.338
Au4 Au 0.500 0.000 0.662
```

Largest 10 diffraction maxima, low angle first, 2θ = 10–90°:
26.4°, I = 52, (0 0 3); 26.8°, I = 45, (1 0 2); 28.7°, I = 29, (1 1 0); 30.0°, I = 73, (1 1 1); 33.8°, I = 39, (1 1 2); 39.4°, I = 100, (1 1 3); 41.0°, I = 83, (2 0 0); 46.2°, I = 50, (1 1 4); 49.4°, I = 40, (2 0 3); 73.6°, I = 33, (3 1 3)